Computed powder X-ray diffraction pattern of Ba2ZrO3F2 for λ = 1.5418 Å (Cu Kα), from a cell relaxed with GGA-PBE.

Largest 12 diffraction maxima, by angle, 5 to 70 degrees two-theta:
Position (°2θ), I (rel.)
26.93, 100
30.55, 47
32.45, 12
34.70, 12
37.65, 24
43.63, 15
43.88, 14
45.17, 17
52.05, 17
52.22, 16
54.30, 11
63.63, 14

Crystal structure
```
data_Ba2ZrO3F2
_space_group_name_H-M_alt 'I m m 2'
_space_group_IT_number 44
_cell_length_a 4.126
_cell_length_b 4.149
_cell_length_c 16.555
_cell_angle_alpha 90.00
_cell_angle_beta 90.00
_cell_angle_gamma 90.00
loop_
_space_group_symop_operation_xyz
'x,y,z'
'-x,-y,z'
'-x,y,z'
'x,-y,z'
'x+1/2,y+1/2,z+1/2'
'-x+1/2,-y+1/2,z+1/2'
'-x+1/2,y+1/2,z+1/2'
'x+1/2,-y+1/2,z+1/2'
loop_
_atom_site_label
_atom_site_type_symbol
_atom_site_fract_x
_atom_site_fract_y
_atom_site_fract_z
Ba1 Ba 0.000 0.000 0.000
Ba2 Ba 0.000 0.000 0.283
Zr1 Zr 0.000 0.000 0.638
O1 O 0.000 0.000 0.758
O2 O 0.000 0.500 0.114
O3 O 0.000 0.500 0.621
F1 F 0.000 0.000 0.494
F2 F 0.000 0.500 0.386
```

Computed powder X-ray diffraction pattern of USiIr for λ = 1.5418 Å (Cu Kα), from a cell relaxed with GGA-PBE.

Largest 12 diffraction maxima, by angle, 5 to 70 degrees two-theta:
Position (°2θ), I (rel.)
24.03, 15
27.25, 18
27.48, 39
34.56, 33
35.85, 40
36.02, 100
38.47, 13
41.96, 54
42.42, 32
54.43, 10
56.71, 22
68.91, 17

Crystal structure
```
data_USiIr
_space_group_name_H-M_alt 'P n m a'
_space_group_IT_number 62
_cell_length_a 6.743
_cell_length_b 4.262
_cell_length_c 7.485
_cell_angle_alpha 90.00
_cell_angle_beta 90.00
_cell_angle_gamma 90.00
loop_
_space_group_symop_operation_xyz
'x,y,z'
'-x,-y,-z'
'-x+1/2,-y,z+1/2'
'x+1/2,y,-z+1/2'
'x+1/2,-y+1/2,-z+1/2'
'-x+1/2,y+1/2,z+1/2'
'-x,y+1/2,-z'
'x,-y+1/2,z'
loop_
_atom_site_label
_atom_site_type_symbol
_atom_site_fract_x
_atom_site_fract_y
_atom_site_fract_z
U1 U 0.008 0.250 0.203
Si1 Si 0.184 0.250 0.586
Ir1 Ir 0.217 0.750 0.414
```

Computed powder X-ray diffraction pattern of SrNb2CuO7 for λ = 1.5418 Å (Cu Kα), from a cell relaxed with GGA-PBE.

Largest 12 diffraction maxima, by angle, 5 to 70 degrees two-theta:
Position (°2θ), I (rel.)
9.57, 13
22.90, 38
26.71, 100
31.86, 26
33.11, 63
33.34, 27
39.00, 28
45.68, 53
53.70, 28
57.57, 27
61.59, 27
66.59, 15

Crystal structure
```
data_SrNb2CuO7
_space_group_name_H-M_alt 'I -4 m 2'
_space_group_IT_number 119
_space_group_name_Hall 'I -4 -2'
_cell_length_a 3.972
_cell_length_b 3.972
_cell_length_c 18.478
_cell_angle_alpha 90.00
_cell_angle_beta 90.00
_cell_angle_gamma 90.00
loop_
_atom_site_label
_atom_site_type_symbol
_atom_site_fract_x
_atom_site_fract_y
_atom_site_fract_z
Sr1 Sr 0.000 0.000 0.000
Nb1 Nb 0.000 0.000 0.385
Cu1 Cu 0.000 0.500 0.250
O1 O 0.000 0.000 0.280
O2 O 0.000 0.000 0.500
O3 O 0.000 0.500 0.106
O4 O 0.000 0.500 0.599
```

Computed powder X-ray diffraction pattern of TmMg2 for λ = 1.5418 Å (Cu Kα), from a cell relaxed with GGA-PBE.

Largest 12 diffraction maxima, by angle, 5 to 70 degrees two-theta:
Position (°2θ), I (rel.)
19.70, 100
27.39, 10
33.97, 97
34.48, 60
40.02, 17
44.58, 17
49.18, 34
53.83, 14
60.47, 10
61.44, 35
61.77, 11
67.92, 17

Crystal structure
```
data_TmMg2
_space_group_name_H-M_alt 'P 6/m m m'
_space_group_IT_number 191
_space_group_name_Hall '-P 6 2'
_cell_length_a 5.2029
_cell_length_b 5.2029
_cell_length_c 3.2559
_cell_angle_alpha 90.00
_cell_angle_beta 90.00
_cell_angle_gamma 120.00
loop_
_atom_site_label
_atom_site_type_symbol
_atom_site_fract_x
_atom_site_fract_y
_atom_site_fract_z
Tm1 Tm 0.0000 0.0000 0.0000
Mg1 Mg 0.3333 0.6667 0.5000
```

Computed powder X-ray diffraction pattern of Sr2CaTlCu2O7 for λ = 1.5418 Å (Cu Kα), from a cell relaxed with GGA-PBE.

Largest 12 diffraction maxima, by angle, 5 to 70 degrees two-theta:
Position (°2θ), I (rel.)
7.19, 33
27.70, 44
32.21, 100
33.51, 68
34.32, 17
36.56, 19
44.94, 15
48.12, 36
50.43, 19
56.43, 14
59.09, 36
61.91, 14

Crystal structure
```
data_Sr2CaTlCu2O7
_space_group_name_H-M_alt 'P 4/m m m'
_space_group_IT_number 123
_space_group_name_Hall '-P 4 2'
_cell_length_a 3.782
_cell_length_b 3.782
_cell_length_c 12.291
_cell_angle_alpha 90.00
_cell_angle_beta 90.00
_cell_angle_gamma 90.00
loop_
_atom_site_label
_atom_site_type_symbol
_atom_site_fract_x
_atom_site_fract_y
_atom_site_fract_z
Sr1 Sr 0.000 0.000 0.209
Ca1 Ca 0.000 0.000 0.500
Tl1 Tl 0.500 0.500 0.000
Cu1 Cu 0.500 0.500 0.357
O1 O 0.000 0.000 0.000
O2 O 0.000 0.500 0.372
O3 O 0.500 0.500 0.172
```

Computed powder X-ray diffraction pattern of Er3Pt4 for λ = 1.5418 Å (Cu Kα), from a cell relaxed with GGA-PBE.

Largest 12 diffraction maxima, by angle, 5 to 70 degrees two-theta:
Position (°2θ), I (rel.)
32.46, 32
35.28, 20
36.20, 100
37.93, 94
42.81, 22
47.29, 15
51.46, 11
53.44, 16
55.39, 8
65.11, 8
66.25, 30
67.98, 9

Crystal structure
```
data_Er3Pt4
_space_group_name_H-M_alt 'R -3'
_space_group_IT_number 148
_space_group_name_Hall '-R 3'
_cell_length_a 13.1289
_cell_length_b 13.1289
_cell_length_c 5.6896
_cell_angle_alpha 90.00
_cell_angle_beta 90.00
_cell_angle_gamma 120.00
loop_
_atom_site_label
_atom_site_type_symbol
_atom_site_fract_x
_atom_site_fract_y
_atom_site_fract_z
Er1 Er 0.0443 0.2108 0.2371
Pt1 Pt 0.0000 0.0000 0.0000
Pt2 Pt 0.0000 0.0000 0.5000
Pt3 Pt 0.0544 0.2727 0.7207
```

Computed powder X-ray diffraction pattern of Sr3Ni2N4 for λ = 1.5418 Å (Cu Kα), from a cell relaxed with GGA-PBE.

Largest 12 diffraction maxima, by angle, 5 to 70 degrees two-theta:
Position (°2θ), I (rel.)
29.71, 62
31.27, 100
33.55, 43
36.80, 20
41.53, 29
42.03, 33
42.36, 27
44.95, 22
52.18, 10
60.89, 10
65.75, 10
69.40, 10

Crystal structure
```
data_Sr3Ni2N4
_space_group_name_H-M_alt 'C 1 2/c 1'
_space_group_IT_number 15
_cell_length_a 11.042
_cell_length_b 8.697
_cell_length_c 5.700
_cell_angle_alpha 90.00
_cell_angle_beta 94.76
_cell_angle_gamma 90.00
loop_
_space_group_symop_operation_xyz
'x,y,z'
'-x,-y,-z'
'-x,y,-z+1/2'
'x,-y,z+1/2'
'x+1/2,y+1/2,z'
'-x+1/2,-y+1/2,-z'
'-x+1/2,y+1/2,-z+1/2'
'x+1/2,-y+1/2,z+1/2'
loop_
_atom_site_label
_atom_site_type_symbol
_atom_site_fract_x
_atom_site_fract_y
_atom_site_fract_z
Sr1 Sr 0.000 0.098 0.250
Sr2 Sr 0.128 0.368 0.567
Ni1 Ni 0.206 0.128 0.920
N1 N 0.124 0.314 0.026
N2 N 0.173 0.060 0.603
```

Computed powder X-ray diffraction pattern of RbNa2Si17 for λ = 1.5418 Å (Cu Kα), from a cell relaxed with GGA-PBE.

Largest 12 diffraction maxima, by angle, 5 to 70 degrees two-theta:
Position (°2θ), I (rel.)
24.02, 20
26.21, 21
29.53, 56
31.36, 100
34.23, 55
35.85, 19
43.62, 11
45.82, 13
50.40, 28
52.39, 93
53.55, 21
65.11, 11

Crystal structure
Cell lengths 14.820, 14.820, 14.820 Å; angles 90.00, 90.00, 90.00 degrees
Space group Fd-3m (No. 227, origin choice 2)
Unique sites:
Rb 0.125 0.125 0.125 (multiplicity 8)
Na 0.000 0.000 0.500 (multiplicity 16)
Si 0.033 0.033 0.717 (multiplicity 32)
Si 0.068 0.068 0.870 (multiplicity 96)
Si 0.125 0.125 0.625 (multiplicity 8)

Computed powder X-ray diffraction pattern of SbHO3 for λ = 1.5418 Å (Cu Kα), from a cell relaxed with GGA-PBE.

Largest 12 diffraction maxima, by angle, 5 to 70 degrees two-theta:
Position (°2θ), I (rel.)
14.64, 100
27.70, 34
29.29, 12
29.52, 51
33.31, 9
37.81, 8
44.93, 8
47.82, 9
49.83, 17
51.26, 7
57.20, 15
60.75, 6

Crystal structure
```
data_SbHO3
_space_group_name_H-M_alt 'F d d 2'
_space_group_IT_number 43
_space_group_name_Hall 'F 2 -2d'
_cell_length_a 9.985
_cell_length_b 10.759
_cell_length_c 10.762
_cell_angle_alpha 90.00
_cell_angle_beta 90.00
_cell_angle_gamma 90.00
loop_
_atom_site_label
_atom_site_type_symbol
_atom_site_fract_x
_atom_site_fract_y
_atom_site_fract_z
Sb1 Sb 0.124 0.125 0.000
H1 H 0.038 0.201 0.579
O1 O 0.000 0.000 0.062
O2 O 0.000 0.000 0.684
O3 O 0.005 0.311 0.378
O4 O 0.035 0.254 0.122
```

Computed powder X-ray diffraction pattern of H9RhC5NO5 for λ = 1.5418 Å (Cu Kα), from a cell relaxed with GGA-PBE.

Largest 12 diffraction maxima, by angle, 5 to 70 degrees two-theta:
Position (°2θ), I (rel.)
9.01, 100
12.48, 98
13.68, 69
14.50, 21
14.84, 31
15.00, 72
16.91, 58
17.86, 17
23.38, 21
24.71, 43
34.23, 17
38.97, 21

Crystal structure
```
data_H9RhC5NO5
_space_group_name_H-M_alt 'P -1'
_space_group_IT_number 2
_cell_length_a 6.793
_cell_length_b 7.822
_cell_length_c 10.245
_cell_angle_alpha 97.80
_cell_angle_beta 100.69
_cell_angle_gamma 111.56
loop_
_space_group_symop_operation_xyz
'x,y,z'
'-x,-y,-z'
loop_
_atom_site_label
_atom_site_type_symbol
_atom_site_fract_x
_atom_site_fract_y
_atom_site_fract_z
H1 H 0.021 0.364 0.047
H2 H 0.088 0.822 0.101
H3 H 0.105 0.875 0.938
H4 H 0.215 0.629 0.447
H5 H 0.297 0.533 0.871
H6 H 0.322 0.744 0.814
H7 H 0.396 0.867 0.225
H8 H 0.418 0.338 0.365
H9 H 0.445 0.270 0.081
Rh1 Rh 0.122 0.064 0.614
C1 C 0.113 0.775 0.002
C2 C 0.153 0.741 0.461
C3 C 0.296 0.235 0.404
C4 C 0.378 0.688 0.899
C5 C 0.463 0.817 0.144
N1 N 0.324 0.761 0.020
O1 O 0.010 0.738 0.360
O2 O 0.121 0.121 0.316
O3 O 0.236 0.857 0.577
O4 O 0.347 0.246 0.532
O5 O 0.350 0.186 0.832
```